Record 1
This entry pairs a crystal structure of K2SmTeS4 with its theoretical powder XRD pattern. Radiation: Cu Ka. Structure: the PBE geometry in Alexandria.
No peak broadening, texture or thermal motion is included.

Largest 10 diffraction maxima, in order of rising 2θ, 2θ = 15–90°:
| two_theta | I/Imax |
| --- | --- |
| 24.9 | 39.6 |
| 26.2 | 32.4 |
| 28.0 | 62.5 |
| 30.4 | 100.0 |
| 40.0 | 19.9 |
| 41.7 | 38.4 |
| 43.5 | 52.0 |
| 51.0 | 18.5 |
| 54.0 | 18.5 |
| 71.8 | 12.7 |

Structure:
```
16
Lattice="5.898 -5.886 0.000 5.898 5.886 0.000 -5.381 0.000 6.383" Properties=species:S:1:pos:R:3 pbc="T T T"
K 0.000 0.000 0.000
K -2.691 0.000 3.191
K 2.949 2.943 0.000
K 0.258 -2.943 3.191
Sm 5.898 0.000 0.000
Sm 3.207 0.000 3.191
Te 0.258 2.943 3.191
Te 2.949 -2.943 0.000
S 2.893 2.793 3.115
S 0.396 0.226 3.519
S 6.211 2.793 0.076
S 3.086 -0.226 0.327
S 3.328 0.226 6.056
S 0.203 -2.793 6.307
S 6.018 -0.226 2.864
S 3.521 -2.793 3.267
```

Record 2
This entry pairs a crystal structure of KSmY4S8 with its theoretical powder XRD pattern. Radiation: Cu Ka. Structure: the PBE geometry in Alexandria.
No peak broadening, texture or thermal motion is included.

Largest 10 diffraction maxima, in order of rising 2θ, 2θ = 15–90°:
| two_theta | I/Imax |
| --- | --- |
| 21.6 | 22.8 |
| 25.2 | 41.0 |
| 25.3 | 100.0 |
| 30.6 | 71.3 |
| 40.2 | 61.4 |
| 43.7 | 53.3 |
| 44.0 | 53.1 |
| 61.1 | 18.2 |
| 63.7 | 15.4 |
| 80.7 | 14.9 |

Structure:
```
14
Lattice="4.114 2.375 6.796 -4.114 2.375 6.796 0.000 -4.750 6.796" Properties=species:S:1:pos:R:3 pbc="T T T"
K 0.000 0.000 0.000
Sm 0.000 0.000 7.513
Y 0.000 -2.459 11.033
Y -2.129 1.229 11.033
Y 0.000 0.000 15.246
Y 2.129 1.229 11.033
S 0.000 -2.084 5.758
S -1.805 1.042 5.758
S 0.000 0.000 2.856
S -1.951 -1.126 9.379
S 1.805 1.042 5.758
S 0.000 0.000 12.553
S 1.951 -1.126 9.379
S 0.000 2.252 9.379
```

Record 3
This entry pairs a crystal structure of K4Sm3ZrS8 with its theoretical powder XRD pattern. Radiation: Cu Ka. Structure: the PBE geometry in Alexandria.
No peak broadening, texture or thermal motion is included.

Largest 10 diffraction maxima, in order of rising 2θ, 2θ = 15–90°:
| two_theta | I/Imax |
| --- | --- |
| 24.1 | 14.6 |
| 25.7 | 19.8 |
| 26.7 | 29.1 |
| 30.2 | 100.0 |
| 38.3 | 16.8 |
| 41.5 | 35.5 |
| 44.8 | 32.7 |
| 46.5 | 13.7 |
| 54.9 | 16.6 |
| 73.5 | 17.5 |

Structure:
```
16
Lattice="4.048 2.337 7.394 -4.048 2.337 7.394 0.000 -4.674 7.394" Properties=species:S:1:pos:R:3 pbc="T T T"
K 0.000 0.000 0.000
K -2.024 -1.168 7.394
K -2.024 1.168 14.789
K 0.000 2.337 7.394
Sm -4.048 0.000 11.092
Sm -2.024 1.168 3.697
Sm 2.024 1.168 3.697
Zr 0.000 0.000 11.092
S 0.000 0.000 5.252
S -1.917 -1.107 12.589
S 0.000 -2.214 9.595
S -1.917 1.107 9.595
S 1.917 -1.107 12.589
S 0.000 2.214 12.589
S 1.917 1.107 9.595
S 0.000 0.000 16.932
```

Record 4
This entry pairs a crystal structure of K2SnS4 with its theoretical powder XRD pattern. Radiation: Cu Ka. Structure: the PBE geometry in Alexandria.
No peak broadening, texture or thermal motion is included.

Largest 10 diffraction maxima, in order of rising 2θ, 2θ = 15–90°:
| two_theta | I/Imax |
| --- | --- |
| 16.2 | 99.9 |
| 18.9 | 44.0 |
| 26.7 | 100.0 |
| 31.3 | 51.6 |
| 31.6 | 20.5 |
| 37.8 | 26.0 |
| 38.0 | 25.7 |
| 38.4 | 25.0 |
| 41.7 | 23.8 |
| 47.0 | 40.6 |

Structure:
```
7
Lattice="0.000 4.741 4.757 4.689 0.000 4.757 4.689 4.741 0.000" Properties=species:S:1:pos:R:3 pbc="T T T"
K 2.344 2.371 2.379
K 7.033 7.112 7.136
Sn 0.000 0.000 0.000
S 4.689 4.741 2.445
S 4.689 2.444 4.757
S 4.689 7.038 4.757
S 4.689 4.741 7.070
```